Calculated powder X-ray diffraction pattern
Compound: Cs2NpSnS5
Radiation: Cu Kα (λ = 1.5418 Å)
Structure: a PBE-relaxed structure

Peak list (8 most intense, 2θ = 10–90°, sorted by position)
d (Å)  I_rel  hkl
6.015  40  0 2 2
4.481  64  0 2 3
3.541  44  1 3 0
3.445  42  1 3 1
3.267  52  0 6 1
3.164  100  1 1 3
2.700  32  1 5 2
2.085  32  2 0 0

Structural model:
```
data_Cs2NpSnS5
_symmetry_space_group_name_H-M 'C m c 21'
_symmetry_Int_Tables_number 36
_symmetry_space_group_name_Hall 'C 2c -2'
_cell_length_a 4.170
_cell_length_b 20.085
_cell_length_c 15.021
_cell_angle_alpha 90.00
_cell_angle_beta 90.00
_cell_angle_gamma 90.00
loop_
_atom_site_label
_atom_site_fract_x
_atom_site_fract_y
_atom_site_fract_z
_atom_site_occupancy
Cs1 0.000 0.119 0.000 1
Cs2 0.000 0.137 0.645 1
Np1 0.000 0.204 0.353 1
Sn1 0.000 0.437 0.752 1
S1 0.000 0.058 0.351 1
S2 0.000 0.297 0.962 1
S3 0.000 0.315 0.727 1
S4 0.000 0.325 0.328 1
S5 0.000 0.497 0.619 1
```

***

Calculated powder X-ray diffraction pattern
Compound: CsNpTeS
Radiation: Cu Kα (λ = 1.5418 Å)
Structure: a PBE-relaxed structure

Peak list (8 most intense, 2θ = 10–90°, sorted by position)
d (Å)  I_rel  hkl
8.670  50  0 0 3
4.335  23  0 0 6
3.701  29  1 0 1
3.594  77  0 1 2
3.036  100  0 1 5
2.636  64  1 0 7
2.454  22  0 1 8
2.159  54  1 1 0

Structural model:
```
data_CsNpTeS
_symmetry_space_group_name_H-M 'R 3 m'
_symmetry_Int_Tables_number 160
_symmetry_space_group_name_Hall 'R 3 -2"'
_cell_length_a 4.3178
_cell_length_b 4.3178
_cell_length_c 26.0101
_cell_angle_alpha 90.00
_cell_angle_beta 90.00
_cell_angle_gamma 120.00
loop_
_atom_site_label
_atom_site_fract_x
_atom_site_fract_y
_atom_site_fract_z
_atom_site_occupancy
Cs1 0.0000 0.0000 0.0000 1
Np1 0.0000 0.0000 0.1548 1
Te1 0.0000 0.0000 0.5606 1
S1 0.0000 0.0000 0.7708 1
```

***

Calculated powder X-ray diffraction pattern
Compound: Cs2NpTiS5
Radiation: Cu Kα (λ = 1.5418 Å)
Structure: a PBE-relaxed structure

Peak list (8 most intense, 2θ = 10–90°, sorted by position)
d (Å)  I_rel  hkl
5.930  38  0 2 2
4.419  64  0 2 3
3.500  37  1 3 0
3.407  23  1 3 1
3.219  39  0 6 1
3.129  100  1 1 3
2.666  31  1 5 2
2.471  22  0 0 6

Structural model:
```
data_Cs2NpTiS5
_symmetry_space_group_name_H-M 'C m c 21'
_symmetry_Int_Tables_number 36
_symmetry_space_group_name_Hall 'C 2c -2'
_cell_length_a 4.131
_cell_length_b 19.785
_cell_length_c 14.816
_cell_angle_alpha 90.00
_cell_angle_beta 90.00
_cell_angle_gamma 90.00
loop_
_atom_site_label
_atom_site_fract_x
_atom_site_fract_y
_atom_site_fract_z
_atom_site_occupancy
Cs1 0.000 0.124 0.000 1
Cs2 0.000 0.133 0.646 1
Np1 0.000 0.198 0.346 1
Ti1 0.000 0.434 0.752 1
S1 0.000 0.053 0.331 1
S2 0.000 0.305 0.958 1
S3 0.000 0.320 0.719 1
S4 0.000 0.321 0.325 1
S5 0.000 0.489 0.626 1
```

***

Calculated powder X-ray diffraction pattern
Compound: Cs3TmNp3S8
Radiation: Cu Kα (λ = 1.5418 Å)
Structure: a PBE-relaxed structure

Peak list (8 most intense, 2θ = 10–90°, sorted by position)
d (Å)  I_rel  hkl
8.173  52  0 0 1
4.086  40  0 0 2
3.396  58  4 0 -2
3.062  100  4 0 0
2.316  39  2 2 2
2.042  30  6 2 -2
2.015  23  2 2 -4
1.827  18  6 2 -4

Structural model:
```
data_Cs3TmNp3S8
_symmetry_space_group_name_H-M 'C 1 2/m 1'
_symmetry_Int_Tables_number 12
_symmetry_space_group_name_Hall '-C 2y'
_cell_length_a 14.156
_cell_length_b 8.153
_cell_length_c 9.433
_cell_angle_alpha 90.00
_cell_angle_beta 119.95
_cell_angle_gamma 90.00
loop_
_atom_site_label
_atom_site_fract_x
_atom_site_fract_y
_atom_site_fract_z
_atom_site_occupancy
Cs1 0.000 0.000 0.000 1
Cs2 0.250 0.250 0.000 1
Tm1 0.000 0.000 0.500 1
Np1 0.000 0.500 0.500 1
Np2 0.250 0.250 0.500 1
S1 0.024 0.247 0.324 1
S2 0.224 0.000 0.674 1
S3 0.227 0.500 0.679 1
```

***

Calculated powder X-ray diffraction pattern
Compound: Cs2Np2US6
Radiation: Cu Kα (λ = 1.5418 Å)
Structure: a PBE-relaxed structure

Peak list (8 most intense, 2θ = 10–90°, sorted by position)
d (Å)  I_rel  hkl
8.245  71  0 0 1
4.123  38  0 0 2
3.380  58  2 0 0
3.055  100  1 3 1
2.321  38  2 0 2
2.029  33  0 6 0
2.023  23  2 0 -4
1.820  26  3 3 -3

Structural model:
```
data_Cs2Np2US6
_symmetry_space_group_name_H-M 'C 1 2/m 1'
_symmetry_Int_Tables_number 12
_symmetry_space_group_name_Hall '-C 2y'
_cell_length_a 7.032
_cell_length_b 12.168
_cell_length_c 8.575
_cell_angle_alpha 90.00
_cell_angle_beta 105.95
_cell_angle_gamma 90.00
loop_
_atom_site_label
_atom_site_fract_x
_atom_site_fract_y
_atom_site_fract_z
_atom_site_occupancy
Cs1 0.000 0.168 0.000 1
Np1 0.000 0.334 0.500 1
U1 0.000 0.000 0.500 1
S1 0.223 0.165 0.675 1
S2 0.231 0.500 0.675 1
```

***

Calculated powder X-ray diffraction pattern
Compound: Cs4NpU3S12
Radiation: Cu Kα (λ = 1.5418 Å)
Structure: a PBE-relaxed structure

Peak list (8 most intense, 2θ = 10–90°, sorted by position)
d (Å)  I_rel  hkl
5.254  19  2 0 0
3.715  100  2 2 0
2.627  41  4 0 0
2.145  47  4 2 2
1.858  29  4 4 0
1.661  22  6 2 0
1.404  25  6 4 2
1.175  14  8 4 0

Structural model:
```
data_Cs4NpU3S12
_symmetry_space_group_name_H-M 'I m -3 m'
_symmetry_Int_Tables_number 229
_symmetry_space_group_name_Hall '-I 4 2 3'
_cell_length_a 10.508
_cell_length_b 10.508
_cell_length_c 10.508
_cell_angle_alpha 90.00
_cell_angle_beta 90.00
_cell_angle_gamma 90.00
loop_
_atom_site_label
_atom_site_fract_x
_atom_site_fract_y
_atom_site_fract_z
_atom_site_occupancy
Cs1 0.250 0.250 0.250 1
Np1 0.000 0.000 0.000 1
U1 0.000 0.000 0.500 1
S1 0.000 0.000 0.255 1
S2 0.000 0.250 0.500 1
```

***

Calculated powder X-ray diffraction pattern
Compound: Cs3NpSc2Te6
Radiation: Cu Kα (λ = 1.5418 Å)
Structure: a PBE-relaxed structure

Peak list (8 most intense, 2θ = 10–90°, sorted by position)
d (Å)  I_rel  hkl
3.341  100  1 3 1
3.127  15  2 0 1
2.708  10  2 0 -3
2.520  29  2 0 2
2.231  37  3 3 -1
1.856  18  4 0 0
1.780  10  3 3 -4
1.427  15  5 3 -3

Structural model:
```
data_Cs3NpSc2Te6
_symmetry_space_group_name_H-M 'C 1 2/m 1'
_symmetry_Int_Tables_number 12
_symmetry_space_group_name_Hall '-C 2y'
_cell_length_a 7.729
_cell_length_b 13.389
_cell_length_c 9.230
_cell_angle_alpha 90.00
_cell_angle_beta 106.25
_cell_angle_gamma 90.00
loop_
_atom_site_label
_atom_site_fract_x
_atom_site_fract_y
_atom_site_fract_z
_atom_site_occupancy
Cs1 0.000 0.000 0.000 1
Cs2 0.000 0.337 0.000 1
Np1 0.000 0.500 0.500 1
Sc1 0.000 0.167 0.500 1
Te1 0.213 0.000 0.683 1
Te2 0.235 0.326 0.684 1
```

***

Calculated powder X-ray diffraction pattern
Compound: Cs3NpSe3
Radiation: Cu Kα (λ = 1.5418 Å)
Structure: a PBE-relaxed structure

Peak list (8 most intense, 2θ = 10–90°, sorted by position)
d (Å)  I_rel  hkl
7.597  22  1 1 0
7.219  30  0 2 0
6.873  49  1 1 -1
4.098  30  1 3 -1
3.908  35  2 0 -2
3.591  100  1 3 1
2.134  23  4 2 0
2.110  21  0 2 4

Structural model:
```
data_Cs3NpSe3
_symmetry_space_group_name_H-M 'C 1 2/m 1'
_symmetry_Int_Tables_number 12
_symmetry_space_group_name_Hall '-C 2y'
_cell_length_a 9.555
_cell_length_b 14.438
_cell_length_c 9.438
_cell_angle_alpha 90.00
_cell_angle_beta 110.78
_cell_angle_gamma 90.00
loop_
_atom_site_label
_atom_site_fract_x
_atom_site_fract_y
_atom_site_fract_z
_atom_site_occupancy
Cs1 0.000 0.176 0.000 1
Cs2 0.000 0.298 0.500 1
Cs3 0.105 0.500 0.872 1
Np1 0.105 0.000 0.608 1
Se1 0.167 0.000 0.340 1
Se2 0.232 0.359 0.222 1
```